No. 1
This entry pairs a crystal structure of Sm3Ga2Pd6 with its computed powder diffractogram. Radiation: CuKα. Structure: a PBE-relaxed structure.
Peak positions follow from Bragg's law for the DFT cell and can differ from measured ones.

Peak list (6 most intense, 2θ = 5–70°, sorted by position)
d (Å)  I (rel.)
3.021  21
2.553  28
2.388  16
2.251  100
1.550  16
1.440  15

Structure:
Cell lengths 8.2725, 8.2725, 8.2725 Å; angles 109.47, 109.47, 109.47 degrees
Sites, in units of the cell vectors:
Sm1 0.0000 0.2916 0.2916
Sm2 0.0000 0.7084 0.7084
Sm3 0.2916 0.0000 0.2916
Sm4 0.2916 0.2916 0.0000
Sm5 0.7084 0.0000 0.7084
Sm6 0.7084 0.7084 0.0000
Ga1 0.0000 0.0000 0.5000
Ga2 0.0000 0.5000 0.0000
Ga3 0.5000 0.0000 0.0000
Ga4 0.5000 0.5000 0.5000
Pd1 0.0000 0.3315 0.6685
Pd2 0.0000 0.6685 0.3315
Pd3 0.3315 0.0000 0.6685
Pd4 0.3315 0.3315 0.6630
Pd5 0.3315 0.6630 0.3315
Pd6 0.3315 0.6685 0.0000
Pd7 0.3370 0.6685 0.6685
Pd8 0.6630 0.3315 0.3315
Pd9 0.6685 0.0000 0.3315
Pd10 0.6685 0.3315 0.0000
Pd11 0.6685 0.3370 0.6685
Pd12 0.6685 0.6685 0.3370

=====

No. 2
This entry pairs a crystal structure of Sm3GaPd3 with its computed powder diffractogram. Radiation: CuKα. Structure: a PBE-relaxed structure.
Peak positions follow from Bragg's law for the DFT cell and can differ from measured ones.

Peak list (6 most intense, 2θ = 5–70°, sorted by position)
d (Å)  I (rel.)
3.024  47
2.683  45
2.643  81
2.401  33
2.342  100
2.097  42

Structure:
Cell lengths 5.6417, 5.6417, 14.4056 Å; angles 90.00, 90.00, 136.37 degrees
Sites, in units of the cell vectors:
Sm1 0.0132 0.9868 0.7500
Sm2 0.2906 0.7094 0.6018
Sm3 0.2906 0.7094 0.8982
Sm4 0.7094 0.2906 0.1018
Sm5 0.7094 0.2906 0.3982
Sm6 0.9868 0.0132 0.2500
Ga1 0.0000 0.0000 0.0000
Ga2 0.0000 0.0000 0.5000
Pd1 0.2660 0.7340 0.2500
Pd2 0.4225 0.5775 0.0926
Pd3 0.4225 0.5775 0.4074
Pd4 0.5775 0.4225 0.5926
Pd5 0.5775 0.4225 0.9074
Pd6 0.7340 0.2660 0.7500

=====

No. 3
This entry pairs a crystal structure of Sm11Ga9Pd4 with its computed powder diffractogram. Radiation: CuKα. Structure: a PBE-relaxed structure.
Peak positions follow from Bragg's law for the DFT cell and can differ from measured ones.

Peak list (6 most intense, 2θ = 5–70°, sorted by position)
d (Å)  I (rel.)
2.708  15
2.571  100
2.505  36
2.414  19
1.868  18
1.498  15

Structure:
Cell lengths 12.7794, 12.7794, 3.7369 Å; angles 90.00, 90.00, 112.75 degrees
Sites, in units of the cell vectors:
Sm1 0.0000 0.0000 0.0000
Sm2 0.0626 0.4104 0.0000
Sm3 0.1665 0.8335 0.0000
Sm4 0.3007 0.3007 0.0000
Sm5 0.3692 0.6308 0.0000
Sm6 0.4104 0.0626 0.0000
Sm7 0.5896 0.9374 0.0000
Sm8 0.6308 0.3692 0.0000
Sm9 0.6993 0.6993 0.0000
Sm10 0.8335 0.1665 0.0000
Sm11 0.9374 0.5896 0.0000
Ga1 0.0738 0.2157 0.5000
Ga2 0.1641 0.6315 0.5000
Ga3 0.2157 0.0738 0.5000
Ga4 0.3685 0.8359 0.5000
Ga5 0.5000 0.5000 0.5000
Ga6 0.6315 0.1641 0.5000
Ga7 0.7843 0.9262 0.5000
Ga8 0.8359 0.3685 0.5000
Ga9 0.9262 0.7843 0.5000
Pd1 0.2436 0.4462 0.5000
Pd2 0.4462 0.2436 0.5000
Pd3 0.5538 0.7564 0.5000
Pd4 0.7564 0.5538 0.5000